Record 1
Simulated powder diffraction line list
Compound: KBa2As5
Radiation: Cu Kα
Structure: a cell relaxed with PBE
Neutral-atom scattering factors, no anomalous dispersion.

Main lines, in order of rising 2θ (10° ≤ 2θ ≤ 90°):
2θ/deg  intensity
26.85  100
28.48  59
28.57  45
29.10  99
30.62  37
31.99  39
32.09  45
38.35  37

Atomic structure:
a b c (Å): 13.0224 13.0224 11.6800
angles (deg): 90.14 90.14 131.56
Sites, in units of the cell vectors:
K1 0.0000 0.0000 0.0000
K2 0.0235 0.3559 0.4992
K3 0.3453 0.6728 0.9993
K4 0.3559 0.0235 0.4992
K5 0.6151 0.6151 0.1218
K6 0.6728 0.3453 0.9993
Ba1 0.0865 0.0865 0.6273
Ba2 0.1204 0.7844 0.8042
Ba3 0.2477 0.2477 0.3056
Ba4 0.2806 0.9474 0.1162
Ba5 0.4115 0.7498 0.6237
Ba6 0.4549 0.4549 0.8163
Ba7 0.5785 0.9105 0.3022
Ba8 0.6844 0.6844 0.4952
Ba9 0.7498 0.4115 0.6237
Ba10 0.7844 0.1204 0.8042
Ba11 0.9105 0.5785 0.3022
Ba12 0.9474 0.2806 0.1162
As1 0.0378 0.5950 0.0426
As2 0.0777 0.9145 0.3668
As3 0.0999 0.6602 0.5429
As4 0.1119 0.2801 0.8628
As5 0.1348 0.4658 0.7734
As6 0.2241 0.5612 0.2735
As7 0.2454 0.7446 0.3646
As8 0.2529 0.3615 0.0434
As9 0.2801 0.1119 0.8628
As10 0.3327 0.4419 0.5519
As11 0.3615 0.2529 0.0434
As12 0.4039 0.5785 0.3685
As13 0.4419 0.3327 0.5519
As14 0.4489 0.9536 0.8638
As15 0.4658 0.1348 0.7734
As16 0.5612 0.2241 0.2735
As17 0.5785 0.4039 0.3685
As18 0.5950 0.0378 0.0426
As19 0.6190 0.7881 0.8535
As20 0.6602 0.0999 0.5429
As21 0.6996 0.9269 0.0387
As22 0.7446 0.2454 0.3646
As23 0.7707 0.9926 0.5465
As24 0.7881 0.6190 0.8535
As25 0.8028 0.8028 0.7705
As26 0.8938 0.8938 0.2758
As27 0.9145 0.0777 0.3668
As28 0.9269 0.6996 0.0387
As29 0.9536 0.4489 0.8638
As30 0.9926 0.7707 0.5465


Record 2
Simulated powder diffraction line list
Compound: K5BaNbAs4
Radiation: Cu Kα
Structure: a cell relaxed with PBE
Neutral-atom scattering factors, no anomalous dispersion.

Main lines, in order of rising 2θ (10° ≤ 2θ ≤ 90°):
2θ/deg  intensity
14.47  85
27.99  46
28.11  48
29.28  48
29.68  48
31.34  53
34.08  100
34.43  49

Atomic structure:
a b c (Å): 10.5272 10.5272 8.1924
angles (deg): 90.61 90.61 120.63
Sites, in units of the cell vectors:
K1 0.0296 0.9704 0.5000
K2 0.2079 0.3433 0.6924
K3 0.3433 0.2079 0.1924
K4 0.3497 0.6307 0.1778
K5 0.4365 0.9696 0.5008
K6 0.6307 0.3497 0.6778
K7 0.6421 0.7823 0.6699
K8 0.7823 0.6421 0.1699
K9 0.9704 0.0296 0.0000
K10 0.9696 0.4365 0.0008
Ba1 0.0293 0.5596 0.4967
Ba2 0.5596 0.0293 0.9967
Nb1 0.1607 0.8271 0.8927
Nb2 0.8271 0.1607 0.3927
As1 0.0929 0.3011 0.3059
As2 0.1632 0.8205 0.2005
As3 0.2947 0.6991 0.7898
As4 0.3011 0.0929 0.8059
As5 0.6928 0.9004 0.2815
As6 0.6991 0.2947 0.2898
As7 0.8205 0.1632 0.7005
As8 0.9004 0.6928 0.7815


Record 3
Simulated powder diffraction line list
Compound: Ba3Li4As4
Radiation: Cu Kα
Structure: a cell relaxed with PBE
Neutral-atom scattering factors, no anomalous dispersion.

Main lines, in order of rising 2θ (10° ≤ 2θ ≤ 90°):
2θ/deg  intensity
19.52  18
24.53  31
25.24  29
30.83  22
31.55  65
31.93  100
37.91  27
64.72  18

Atomic structure:
a b c (Å): 9.0206 9.0206 9.0206
angles (deg): 149.49 132.56 57.46
Sites, in units of the cell vectors:
Ba1 0.0000 0.0000 0.0000
Ba2 0.3686 0.8686 0.5000
Ba3 0.6314 0.1314 0.5000
Li1 0.0168 0.3224 0.6944
Li2 0.3720 0.6776 0.6944
Li3 0.6280 0.3224 0.3056
Li4 0.9832 0.6776 0.3056
As1 0.2127 0.2127 0.0000
As2 0.3264 0.5000 0.8264
As3 0.6736 0.5000 0.1736
As4 0.7873 0.7873 0.0000


Record 4
Simulated powder diffraction line list
Compound: Ba3LiAs2O8
Radiation: Cu Kα
Structure: a cell relaxed with PBE
Neutral-atom scattering factors, no anomalous dispersion.

Main lines, in order of rising 2θ (10° ≤ 2θ ≤ 90°):
2θ/deg  intensity
27.19  100
28.24  32
29.36  66
39.58  27
41.30  13
46.63  11
50.73  32
60.91  11

Atomic structure:
a b c (Å): 6.0912 6.0912 7.6883
angles (deg): 111.71 111.71 62.51
Sites, in units of the cell vectors:
Ba1 0.0000 0.0000 0.0000
Ba2 0.1179 0.2912 0.6171
Ba3 0.7088 0.8821 0.3829
Li1 0.5347 0.4653 0.0000
As1 0.3379 0.5026 0.2588
As2 0.4974 0.6621 0.7412
O1 0.1575 0.8178 0.6776
O2 0.1822 0.8425 0.3224
O3 0.2246 0.4598 0.0039
O4 0.2368 0.3049 0.3056
O5 0.5402 0.7754 0.9961
O6 0.6062 0.3276 0.7354
O7 0.6724 0.3938 0.2646
O8 0.6951 0.7632 0.6944


Record 5
Simulated powder diffraction line list
Compound: Ba3LiAs2O8
Radiation: Cu Kα
Structure: a cell relaxed with PBE
Neutral-atom scattering factors, no anomalous dispersion.

Main lines, in order of rising 2θ (10° ≤ 2θ ≤ 90°):
2θ/deg  intensity
25.55  100
30.47  93
40.17  38
41.67  18
51.24  28
54.14  18
63.41  16
69.52  12

Atomic structure:
a b c (Å): 8.6761 8.6761 8.6761
angles (deg): 39.53 39.53 39.53
Sites, in units of the cell vectors:
Ba1 0.0000 0.0000 0.0000
Ba2 0.1994 0.1994 0.1994
Ba3 0.7657 0.7657 0.7657
Li1 0.8850 0.8850 0.8850
As1 0.3906 0.3906 0.3906
As2 0.5831 0.5831 0.5831
O1 0.2286 0.7100 0.7100
O2 0.2571 0.2571 0.7355
O3 0.2571 0.7355 0.2571
O4 0.3188 0.3188 0.3188
O5 0.6637 0.6637 0.6637
O6 0.7100 0.2286 0.7100
O7 0.7100 0.7100 0.2286
O8 0.7355 0.2571 0.2571


Record 6
Simulated powder diffraction line list
Compound: Ba3LiAs2O8
Radiation: Cu Kα
Structure: a cell relaxed with PBE
Neutral-atom scattering factors, no anomalous dispersion.

Main lines, in order of rising 2θ (10° ≤ 2θ ≤ 90°):
2θ/deg  intensity
20.99  57
29.27  100
30.35  43
30.45  85
42.69  38
42.79  19
47.29  20
53.39  25

Atomic structure:
a b c (Å): 5.8709 5.8709 7.6225
angles (deg): 90.00 90.00 60.22
Sites, in units of the cell vectors:
Ba1 0.0000 0.0000 0.0000
Ba2 0.3319 0.3319 0.6493
Ba3 0.6681 0.6681 0.3507
Li1 0.0000 0.0000 0.5000
As1 0.3345 0.3345 0.2149
As2 0.6655 0.6655 0.7851
O1 0.1748 0.1748 0.3147
O2 0.1751 0.6570 0.3090
O3 0.3303 0.3303 0.9842
O4 0.3430 0.8249 0.6910
O5 0.6570 0.1751 0.3090
O6 0.6697 0.6697 0.0158
O7 0.8249 0.3430 0.6910
O8 0.8252 0.8252 0.6853


Record 7
Simulated powder diffraction line list
Compound: Ba3LiAs2O8
Radiation: Cu Kα
Structure: a cell relaxed with PBE
Neutral-atom scattering factors, no anomalous dispersion.

Main lines, in order of rising 2θ (10° ≤ 2θ ≤ 90°):
2θ/deg  intensity
25.75  100
28.10  52
29.16  76
29.95  19
31.44  45
35.65  14
42.58  20
42.74  20

Atomic structure:
a b c (Å): 5.6916 6.2154 7.8995
angles (deg): 76.87 69.08 62.84
Sites, in units of the cell vectors:
Ba1 0.0000 0.0000 0.0000
Ba2 0.1628 0.3515 0.3280
Ba3 0.4196 0.3867 0.7732
Li1 0.3264 0.8293 0.5097
As1 0.5751 0.6901 0.1596
As2 0.7910 0.8278 0.5851
O1 0.4325 0.9705 0.6537
O2 0.4466 0.5609 0.0542
O3 0.4664 0.0201 0.0491
O4 0.5359 0.5160 0.4023
O5 0.8952 0.8552 0.3511
O6 0.9034 0.5253 0.6608
O7 0.9367 0.5542 0.0552
O8 0.9383 0.9694 0.6556


Record 8
Simulated powder diffraction line list
Compound: Ba3LiAs2O8
Radiation: Cu Kα
Structure: a cell relaxed with PBE
Neutral-atom scattering factors, no anomalous dispersion.

Main lines, in order of rising 2θ (10° ≤ 2θ ≤ 90°):
2θ/deg  intensity
26.20  100
30.33  86
40.50  39
43.45  29
51.43  29
53.90  29
63.11  35
69.54  26

Atomic structure:
a b c (Å): 8.3312 8.3312 8.3312
angles (deg): 41.43 41.43 41.43
Sites, in units of the cell vectors:
Ba1 0.0000 0.0000 0.0000
Ba2 0.2081 0.2081 0.2081
Ba3 0.7919 0.7919 0.7919
Li1 0.5000 0.5000 0.5000
As1 0.3975 0.3975 0.3975
As2 0.6025 0.6025 0.6025
O1 0.2545 0.7215 0.7215
O2 0.2785 0.2785 0.7455
O3 0.2785 0.7455 0.2785
O4 0.3206 0.3206 0.3206
O5 0.6794 0.6794 0.6794
O6 0.7215 0.2545 0.7215
O7 0.7215 0.7215 0.2545
O8 0.7455 0.2785 0.2785


Record 9
Simulated powder diffraction line list
Compound: BaMn2As2
Radiation: Cu Kα
Structure: a cell relaxed with PBE
Neutral-atom scattering factors, no anomalous dispersion.

Main lines, in order of rising 2θ (10° ≤ 2θ ≤ 90°):
2θ/deg  intensity
29.55  100
30.68  19
33.55  44
40.26  17
43.93  36
51.70  31
53.84  36
86.56  14

Atomic structure:
a b c (Å): 4.1218 4.1218 13.3433
angles (deg): 90.00 90.00 90.00
Sites, in units of the cell vectors:
Ba1 0.0000 0.0000 0.0000
Ba2 0.5000 0.5000 0.5000
Mn1 0.0000 0.5000 0.2500
Mn2 0.0000 0.5000 0.7500
Mn3 0.5000 0.0000 0.2500
Mn4 0.5000 0.0000 0.7500
As1 0.0000 0.0000 0.3579
As2 0.0000 0.0000 0.6421
As3 0.5000 0.5000 0.1421
As4 0.5000 0.5000 0.8579


Record 10
Simulated powder diffraction line list
Compound: BaMn2As2
Radiation: Cu Kα
Structure: a cell relaxed with PBE
Neutral-atom scattering factors, no anomalous dispersion.

Main lines, in order of rising 2θ (10° ≤ 2θ ≤ 90°):
2θ/deg  intensity
29.39  43
29.53  100
29.67  52
30.69  37
33.48  44
33.64  40
43.95  70
53.71  37

Atomic structure:
a b c (Å): 13.9496 4.1199 4.1206
angles (deg): 90.00 106.66 90.00
Sites, in units of the cell vectors:
Ba1 0.0000 0.0000 0.0000
Ba2 0.5000 0.5000 0.0000
Mn1 0.2486 0.5000 0.2315
Mn2 0.2514 0.0000 0.7685
Mn3 0.7486 0.0000 0.2315
Mn4 0.7514 0.5000 0.7685
As1 0.1419 0.5000 0.6373
As2 0.3581 0.0000 0.3627
As3 0.6419 0.0000 0.6373
As4 0.8581 0.5000 0.3627


Record 11
Simulated powder diffraction line list
Compound: Ba3AsN
Radiation: Cu Kα
Structure: a cell relaxed with PBE
Neutral-atom scattering factors, no anomalous dispersion.

Main lines, in order of rising 2θ (10° ≤ 2θ ≤ 90°):
2θ/deg  intensity
28.17  100
32.64  57
46.83  41
55.54  45
58.24  14
75.52  18
77.84  18
86.98  14

Atomic structure:
a b c (Å): 5.4876 5.4876 5.4876
angles (deg): 90.00 90.00 90.00
Sites, in units of the cell vectors:
Ba1 0.0000 0.0000 0.5000
Ba2 0.0000 0.5000 0.0000
Ba3 0.5000 0.0000 0.0000
As1 0.5000 0.5000 0.5000
N1 0.0000 0.0000 0.0000


Record 12
Simulated powder diffraction line list
Compound: Ba2NaSn6As6
Radiation: Cu Kα
Structure: a cell relaxed with PBE
Neutral-atom scattering factors, no anomalous dispersion.

Main lines, in order of rising 2θ (10° ≤ 2θ ≤ 90°):
2θ/deg  intensity
29.00  100
40.09  34
42.80  27
42.85  12
52.57  13
60.10  10
66.13  11
70.03  16

Atomic structure:
a b c (Å): 7.3132 7.3132 9.8187
angles (deg): 97.18 97.18 119.93
Sites, in units of the cell vectors:
Ba1 0.1666 0.8334 0.0000
Ba2 0.8334 0.1666 0.0000
Na1 0.5000 0.5000 0.0000
Sn1 0.0405 0.3752 0.6257
Sn2 0.2901 0.2901 0.3737
Sn3 0.3752 0.0405 0.6257
Sn4 0.6248 0.9595 0.3743
Sn5 0.7099 0.7099 0.6263
Sn6 0.9595 0.6248 0.3743
As1 0.0946 0.0946 0.7694
As2 0.2484 0.5767 0.2302
As3 0.4233 0.7516 0.7698
As4 0.5767 0.2484 0.2302
As5 0.7516 0.4233 0.7698
As6 0.9054 0.9054 0.2306